Diffraction record for Na2Cu2F7. The powder XRD pattern is theoretical, not measured: it uses a PBE-relaxed structure and λ = 1.5418 Å (Cu Kα).
Lines closer than 0.1° are merged.

abc: 7.3081 7.3081 7.3081
angles: 120.03 90.66 119.21
Sites, in units of the cell vectors:
1 Na 0.0000 0.0000 0.0000
2 Na 0.5000 0.0000 0.0000
3 Na 0.5000 0.0000 0.5000
4 Na 0.5000 0.5000 0.5000
5 Cu 0.0000 0.0000 0.5000
6 Cu 0.0000 0.5000 0.0000
7 Cu 0.0000 0.5000 0.5000
8 Cu 0.5000 0.5000 0.0000
9 F 0.0530 0.2290 0.4114
10 F 0.0530 0.6417 0.8241
11 F 0.0954 0.8454 0.2500
12 F 0.3176 0.2290 0.6759
13 F 0.3176 0.6417 0.0886
14 F 0.3217 0.7281 0.5937
15 F 0.3656 0.2719 0.0937
16 F 0.6344 0.7281 0.9063
17 F 0.6783 0.2719 0.4063
18 F 0.6824 0.3583 0.9114
19 F 0.6824 0.7710 0.3241
20 F 0.9046 0.1546 0.7500
21 F 0.9470 0.3583 0.1759
22 F 0.9470 0.7710 0.5886

Main lines, sorted by position (2θ from 15° to 90°):
17.06 deg, intensity 38
24.36 deg, intensity 34
28.61 deg, intensity 29
28.72 deg, intensity 17
29.77 deg, intensity 96
30.02 deg, intensity 85
34.52 deg, intensity 17
49.93 deg, intensity 100
58.79 deg, intensity 33
59.23 deg, intensity 24

***

Diffraction record for YMgCd5. The powder XRD pattern is theoretical, not measured: it uses a PBE-relaxed structure and λ = 1.5418 Å (Cu Kα).
Lines closer than 0.1° are merged.

abc: 4.4884 4.4884 8.7992
angles: 90.00 90.00 90.00
Sites, in units of the cell vectors:
1 Y 0.0000 0.0000 0.0000
2 Mg 0.5000 0.5000 0.5000
3 Cd 0.0000 0.5000 0.2714
4 Cd 0.0000 0.5000 0.7286
5 Cd 0.5000 0.0000 0.2714
6 Cd 0.5000 0.0000 0.7286
7 Cd 0.5000 0.5000 0.0000

Main lines, sorted by position (2θ from 15° to 90°):
20.18 deg, intensity 10
28.12 deg, intensity 10
29.93 deg, intensity 19
30.48 deg, intensity 10
34.86 deg, intensity 100
40.18 deg, intensity 35
41.03 deg, intensity 14
58.13 deg, intensity 11
58.78 deg, intensity 18
69.60 deg, intensity 25

***

Diffraction record for CeCdPd6. The powder XRD pattern is theoretical, not measured: it uses a PBE-relaxed structure and λ = 1.5418 Å (Cu Kα).
Lines closer than 0.1° are merged.

abc: 4.6732 5.8232 10.0869
angles: 90.00 90.00 90.00
Sites, in units of the cell vectors:
1 Ce 0.0000 0.0000 0.0000
2 Ce 0.0000 0.5000 0.5000
3 Cd 0.5000 0.0000 0.6672
4 Cd 0.5000 0.5000 0.1672
5 Pd 0.0000 0.0000 0.4988
6 Pd 0.0000 0.2473 0.2516
7 Pd 0.0000 0.2527 0.7516
8 Pd 0.0000 0.5000 0.9988
9 Pd 0.0000 0.7473 0.7516
10 Pd 0.0000 0.7527 0.2516
11 Pd 0.5000 0.0000 0.1698
12 Pd 0.5000 0.2448 0.4150
13 Pd 0.5000 0.2552 0.9150
14 Pd 0.5000 0.5000 0.6698
15 Pd 0.5000 0.7448 0.9150
16 Pd 0.5000 0.7552 0.4150

Main lines, sorted by position (2θ from 15° to 90°):
35.60 deg, intensity 24
38.53 deg, intensity 26
40.66 deg, intensity 100
53.46 deg, intensity 15
63.95 deg, intensity 17
71.14 deg, intensity 18
77.20 deg, intensity 19
78.59 deg, intensity 14
82.58 deg, intensity 3
88.02 deg, intensity 4

***

Diffraction record for Sm3Ga4Ag4. The powder XRD pattern is theoretical, not measured: it uses a PBE-relaxed structure and λ = 1.5418 Å (Cu Kα).
Lines closer than 0.1° are merged.

abc: 14.2578 14.2578 3.6830
angles: 97.40 97.40 18.57
Sites, in units of the cell vectors:
1 Sm 0.0000 0.0000 0.0000
2 Sm 0.3557 0.3557 0.8557
3 Sm 0.6443 0.6443 0.1443
4 Ga 0.1876 0.1876 0.6877
5 Ga 0.4530 0.4530 0.4545
6 Ga 0.5470 0.5470 0.5455
7 Ga 0.8124 0.8124 0.3123
8 Ag 0.0935 0.0935 0.5934
9 Ag 0.2588 0.2588 0.2588
10 Ag 0.7412 0.7412 0.7412
11 Ag 0.9065 0.9065 0.4066

Main lines, sorted by position (2θ from 15° to 90°):
33.12 deg, intensity 45
33.71 deg, intensity 100
39.15 deg, intensity 33
40.62 deg, intensity 49
49.50 deg, intensity 17
52.19 deg, intensity 25
64.85 deg, intensity 14
65.88 deg, intensity 21
67.49 deg, intensity 13
71.94 deg, intensity 9